# 1
Ba2Cu3O6: simulated powder diffraction line list (Cu Kα (λ = 1.5418 Å)), based on a GGA-PBE-relaxed structure.

Structure:
Lattice parameters (Å, degrees): 8.272 7.593 12.173 90.00 109.56 90.00
Space group P2/m (No. 10)
Unique sites:
Ba: 0.065 0.000 0.258 x2
Ba: 0.182 0.500 0.748 x2
Ba: 0.325 0.500 0.249 x2
Ba: 0.408 0.000 0.758 x2
Cu: 0.166 0.251 0.000 x4
Cu: 0.168 0.247 0.501 x4
Cu: 0.500 0.246 0.000 x2
Cu: 0.500 0.253 0.500 x2
O: 0.053 0.232 0.611 x4
O: 0.055 0.266 0.112 x4
O: 0.278 0.231 0.889 x4
O: 0.279 0.248 0.390 x4
O: 0.387 0.249 0.110 x4
O: 0.389 0.267 0.612 x4

The 10 most intense peaks (10 to 90 degrees two-theta), sorted by position:
2theta	d [Å]	I_rel	h k l
24.51	3.632	25	2 1 -1
25.73	3.463	24	2 1 0
28.19	3.166	100	0 2 2
29.04	3.075	17	2 1 1
29.16	3.062	16	2 1 -3
31.19	2.868	22	0 0 4
44.86	2.021	11	2 3 1
45.27	2.003	9	3 2 -4
47.92	1.898	15	0 4 0
53.68	1.708	12	0 2 6


# 2
Ba2CuP2O8: simulated powder diffraction line list (Cu Kα (λ = 1.5418 Å)), based on a GGA-PBE-relaxed structure.

Structure:
Lattice parameters (Å, degrees): 12.330 5.198 7.002 90.00 105.45 90.00
Space group C2/m (No. 12)
Unique sites:
Ba: 0.173 0.000 0.215 x4
Cu: 0.000 0.500 0.500 x2
P: 0.133 0.000 0.702 x4
O: 0.047 0.000 0.825 x4
O: 0.122 0.244 0.564 x8
O: 0.245 0.500 0.160 x4

The 10 most intense peaks (10 to 90 degrees two-theta), sorted by position:
2theta	d [Å]	I_rel	h k l
18.63	4.762	39	1 1 0
21.66	4.103	84	1 1 -1
22.41	3.966	31	2 0 1
26.68	3.342	64	2 0 -2
28.33	3.151	100	3 1 0
34.17	2.624	48	1 1 2
34.54	2.597	56	0 2 0
43.95	2.060	52	5 1 -2
45.98	1.974	27	4 2 -1
58.57	1.576	22	4 2 2


# 3
BaCuP2O7: simulated powder diffraction line list (Cu Kα (λ = 1.5418 Å)), based on a GGA-PBE-relaxed structure.

Structure:
Lattice parameters (Å, degrees): 5.277 7.668 7.681 103.60 91.67 95.40
Space group P-1 (No. 2)
Unique sites:
Ba: 0.193 0.277 0.429 x2
Cu: 0.180 0.144 0.903 x2
P: 0.287 0.692 0.900 x2
P: 0.311 0.766 0.280 x2
O: 0.090 0.889 0.295 x2
O: 0.093 0.836 0.916 x2
O: 0.213 0.532 0.745 x2
O: 0.272 0.624 0.086 x2
O: 0.299 0.658 0.423 x2
O: 0.426 0.124 0.712 x2
O: 0.437 0.222 0.104 x2

The 10 most intense peaks (10 to 90 degrees two-theta), sorted by position:
2theta	d [Å]	I_rel	h k l
19.69	4.509	24	1 -1 0
22.94	3.878	25	1 1 -1
24.02	3.705	100	0 2 0
28.48	3.134	43	1 -2 1
28.63	3.118	25	1 0 -2
29.36	3.042	29	0 2 1
29.51	3.027	36	1 1 -2
30.14	2.965	55	1 0 2
34.18	2.623	28	2 0 0
40.98	2.202	32	2 0 -2


# 4
Ba2CuP2O9: simulated powder diffraction line list (Cu Kα (λ = 1.5418 Å)), based on a GGA-PBE-relaxed structure.

Structure:
Lattice parameters (Å, degrees): 16.193 5.098 12.685 90.00 122.61 90.00
Space group C2/c (No. 15)
Unique sites:
Ba: 0.103 0.236 0.188 x8
Cu: 0.250 0.250 0.000 x4
P: 0.149 0.265 0.529 x8
O: 0.000 0.177 0.750 x4
O: 0.081 0.261 0.580 x8
O: 0.090 0.288 0.387 x8
O: 0.214 0.010 0.580 x8
O: 0.222 0.497 0.093 x8

The 10 most intense peaks (10 to 90 degrees two-theta), sorted by position:
2theta	d [Å]	I_rel	h k l
18.87	4.703	31	1 1 -1
21.77	4.082	65	1 1 1
22.11	4.020	28	4 0 -2
26.15	3.408	79	2 0 2
28.09	3.176	100	3 1 -3
34.10	2.629	72	5 1 -1
35.21	2.549	30	0 2 0
42.98	2.105	33	1 1 -5
44.37	2.041	30	2 2 2
45.95	1.975	21	2 2 -4


# 5
Ba2CuP2O9: simulated powder diffraction line list (Cu Kα (λ = 1.5418 Å)), based on a GGA-PBE-relaxed structure.

Structure:
Lattice parameters (Å, degrees): 8.490 5.822 9.047 90.00 112.20 90.00
Space group P2_1/m (No. 11)
Unique sites:
Ba: 0.197 0.250 0.218 x2
Ba: 0.209 0.750 0.594 x2
Cu: 0.500 0.000 0.000 x2
P: 0.058 0.250 0.803 x2
P: 0.492 0.250 0.687 x2
O: 0.019 0.034 0.695 x4
O: 0.056 0.750 0.097 x2
O: 0.242 0.250 0.932 x2
O: 0.319 0.250 0.549 x2
O: 0.359 0.750 0.368 x2
O: 0.367 0.750 0.935 x2
O: 0.494 0.525 0.209 x4

The 10 most intense peaks (10 to 90 degrees two-theta), sorted by position:
2theta	d [Å]	I_rel	h k l
21.03	4.224	23	2 0 -1
23.78	3.742	43	1 1 1
26.06	3.419	100	2 1 -1
27.66	3.225	26	1 0 2
28.98	3.081	27	2 1 -2
29.63	3.015	45	1 0 -3
30.71	2.911	26	0 2 0
31.72	2.821	39	1 1 2
38.48	2.339	36	2 2 0
43.19	2.095	39	1 2 -3